The following is a computed powder XRD pattern of K2LiAuF6. It was derived from a cell relaxed with PBE, using Cu Kα, 1.54184 Å.
Neutral-atom scattering factors, no anomalous dispersion.

Most intense lines, 15° ≤ 2θ ≤ 90°, by angle:
| index | 2theta | I_rel |
| --- | --- | --- |
| 1 1 1 | 18.2 | 100 |
| 2 0 0 | 21.1 | 39 |
| 2 2 0 | 30.0 | 78 |
| 3 1 1 | 35.3 | 64 |
| 4 0 0 | 42.9 | 38 |
| 3 3 1 | 47.0 | 30 |
| 4 2 2 | 53.2 | 32 |
| 4 4 0 | 62.3 | 23 |

Structure:
```
data_K2LiAuF6
_chemical_formula_sum 'K8 Li4 Au4 F24'
_cell_length_a 8.4316
_cell_length_b 8.4316
_cell_length_c 8.4316
_cell_angle_alpha 90.00
_cell_angle_beta 90.00
_cell_angle_gamma 90.00
_space_group_name_H-M_alt 'F m -3 m'
_space_group_IT_number 225
_space_group_name_Hall '-F 4 2 3'
loop_
_atom_site_label
_atom_site_fract_x
_atom_site_fract_y
_atom_site_fract_z
_atom_site_occupancy
K1 0.2500 0.2500 0.2500 1
Li1 0.0000 0.0000 0.0000 1
Au1 0.0000 0.0000 0.5000 1
F1 0.0000 0.0000 0.2454 1
```